Starting from a structure optimized by DFT (PBE), the powder XRD pattern of TcAsC2Cl was computed for CuKα.

The 10 most intense peaks (2θ = 10–80°), in order of falling intensity:
(1 1 0), 31.80°, I 100; (1 1 1), 37.60°, I 91; (0 0 1), 19.56°, I 61; (2 0 0), 45.58°, I 52; (1 1 2), 51.75°, I 50; (0 0 2), 39.72°, I 40; (2 0 2), 62.02°, I 39; (1 0 0), 22.34°, I 25; (2 0 1), 50.05°, I 24; (3 1 1), 78.93°, I 20

Crystal structure
a = 3.9802 Å, b = 3.9802 Å, c = 4.5390 Å
α = 90.00°, β = 90.00°, γ = 90.00°
Space group P4/mmm (No. 123)
Inequivalent atoms, fractional coordinates:
Tc (0.0000, 0.0000, 0.0000) x1
As (0.5000, 0.5000, 0.0000) x1
C (0.0000, 0.5000, 0.5000) x2
Cl (0.0000, 0.0000, 0.5000) x1